Record 1
For EuZn11, the GGA-PBE geometry in Alexandria gives the computed PXRD pattern in this record (copper Kα).
Peak positions follow from Bragg's law for the DFT cell and can differ from measured ones.

Cell and atoms:
a b c (Å): 8.299 8.299 8.299
angles (deg): 99.89 99.89 131.02
Atoms (fractional coordinates):
Eu 0.375 0.625 0.750
Eu 0.625 0.375 0.250
Zn 0.000 0.000 0.000
Zn 0.000 0.000 0.500
Zn 0.000 0.500 0.000
Zn 0.125 0.875 0.250
Zn 0.134 0.556 0.334
Zn 0.134 0.800 0.578
Zn 0.200 0.278 0.334
Zn 0.200 0.866 0.922
Zn 0.278 0.200 0.834
Zn 0.278 0.444 0.078
Zn 0.444 0.278 0.578
Zn 0.444 0.866 0.166
Zn 0.500 0.000 0.500
Zn 0.556 0.134 0.834
Zn 0.556 0.722 0.422
Zn 0.722 0.556 0.922
Zn 0.722 0.800 0.166
Zn 0.800 0.134 0.078
Zn 0.800 0.722 0.666
Zn 0.866 0.200 0.422
Zn 0.866 0.444 0.666
Zn 0.875 0.125 0.750

Largest 10 diffraction maxima, in order of falling intensity, 10 to 80 degrees two-theta:
| d/Å | 2θ (°) | Rel. int. |
| --- | --- | --- |
| 2.410 | 37.31 | 1000 |
| 2.388 | 37.66 | 737 |
| 2.040 | 44.41 | 504 |
| 2.721 | 32.92 | 409 |
| 2.242 | 40.22 | 330 |
| 1.383 | 67.75 | 305 |
| 1.962 | 46.28 | 305 |
| 2.109 | 42.87 | 150 |
| 2.067 | 43.79 | 145 |
| 1.906 | 47.72 | 134 |

---

Record 2
For La6CdRu2Br3, the GGA-PBE geometry in Alexandria gives the computed PXRD pattern in this record (copper Kα).
Peak positions follow from Bragg's law for the DFT cell and can differ from measured ones.

Cell and atoms:
a b c (Å): 10.360 10.360 9.504
angles (deg): 107.83 107.83 23.33
Atoms (fractional coordinates):
La 0.031 0.031 0.268
La 0.317 0.317 0.435
La 0.334 0.334 0.865
La 0.666 0.666 0.135
La 0.683 0.683 0.565
La 0.969 0.969 0.732
Cd 0.500 0.500 0.000
Ru 0.167 0.167 0.341
Ru 0.833 0.833 0.659
Br 0.168 0.168 0.839
Br 0.500 0.500 0.500
Br 0.832 0.832 0.161

Largest 10 diffraction maxima, in order of falling intensity, 10 to 80 degrees two-theta:
| d/Å | 2θ (°) | Rel. int. |
| --- | --- | --- |
| 3.138 | 28.44 | 1000 |
| 3.213 | 27.77 | 426 |
| 2.186 | 41.30 | 277 |
| 2.309 | 39.02 | 276 |
| 7.943 | 11.14 | 263 |
| 2.095 | 43.19 | 177 |
| 2.368 | 38.00 | 166 |
| 1.862 | 48.91 | 149 |
| 1.755 | 52.12 | 145 |
| 2.506 | 35.84 | 116 |

---

Record 3
For RbPuUSe4, the GGA-PBE geometry in Alexandria gives the computed PXRD pattern in this record (copper Kα).
Peak positions follow from Bragg's law for the DFT cell and can differ from measured ones.

Cell and atoms:
a b c (Å): 8.906 8.906 8.906
angles (deg): 121.10 118.74 90.15
Atoms (fractional coordinates):
Rb 0.379 0.129 0.250
Rb 0.621 0.871 0.750
Pu 0.000 0.500 0.500
Pu 0.500 0.500 0.000
U 0.000 0.000 0.500
U 0.000 0.500 0.000
Se 0.187 0.735 0.452
Se 0.217 0.265 0.952
Se 0.223 0.260 0.537
Se 0.223 0.686 0.963
Se 0.777 0.314 0.037
Se 0.777 0.740 0.463
Se 0.783 0.735 0.048
Se 0.813 0.265 0.548

Largest 10 diffraction maxima, in order of falling intensity, 10 to 80 degrees two-theta:
| d/Å | 2θ (°) | Rel. int. |
| --- | --- | --- |
| 3.149 | 28.34 | 1000 |
| 2.226 | 40.53 | 748 |
| 7.360 | 12.02 | 643 |
| 7.187 | 12.32 | 541 |
| 3.837 | 23.18 | 375 |
| 3.763 | 23.64 | 350 |
| 2.442 | 36.81 | 309 |
| 2.409 | 37.32 | 256 |
| 3.782 | 23.52 | 207 |
| 2.269 | 39.73 | 189 |

---

Record 4
For K4Hg5Au2, the GGA-PBE geometry in Alexandria gives the computed PXRD pattern in this record (copper Kα).
Peak positions follow from Bragg's law for the DFT cell and can differ from measured ones.

Cell and atoms:
a b c (Å): 8.194 4.764 9.629
angles (deg): 90.00 91.40 90.00
Atoms (fractional coordinates):
K 0.218 0.000 0.359
K 0.230 0.000 0.903
K 0.770 0.000 0.097
K 0.782 0.000 0.641
Hg 0.126 0.500 0.626
Hg 0.437 0.500 0.155
Hg 0.500 0.500 0.500
Hg 0.563 0.500 0.845
Hg 0.874 0.500 0.374
Au 0.081 0.500 0.131
Au 0.919 0.500 0.869

Largest 10 diffraction maxima, in order of falling intensity, 10 to 80 degrees two-theta:
| d/Å | 2θ (°) | Rel. int. |
| --- | --- | --- |
| 4.764 | 18.62 | 1000 |
| 3.108 | 28.72 | 712 |
| 3.150 | 28.33 | 291 |
| 2.382 | 37.76 | 287 |
| 2.146 | 42.11 | 197 |
| 2.350 | 38.29 | 191 |
| 2.108 | 42.91 | 182 |
| 1.692 | 54.21 | 170 |
| 1.673 | 54.88 | 152 |
| 4.106 | 21.64 | 146 |